# 1
Theoretical X-ray powder pattern
Compound: LaS2
Radiation: Cu Kα (weighted mean of Kα1 and Kα2)
Structure: a crystal structure in the Materials Project, relaxed with GGA-PBE
No peak broadening, texture or thermal motion is included.

Largest 10 diffraction maxima, sorted by position, 5° ≤ 2θ ≤ 70°:
d = 4.111 Å, intensity 422
d = 3.699 Å, intensity 748
d = 3.670 Å, intensity 799
d = 2.914 Å, intensity 723
d = 2.747 Å, intensity 405
d = 2.741 Å, intensity 255
d = 2.377 Å, intensity 1000
d = 2.285 Å, intensity 347
d = 2.279 Å, intensity 341
d = 2.051 Å, intensity 257

Cell and atoms:
abc: 8.222 4.142 8.202
angles: 90.00 90.06 90.00
Fractional coordinates of all 12 atoms:
1 La 0.223 0.212 0.370
2 La 0.223 0.288 0.870
3 La 0.777 0.712 0.130
4 La 0.777 0.788 0.630
5 S 0.135 0.738 0.126
6 S 0.135 0.762 0.626
7 S 0.498 0.652 0.395
8 S 0.498 0.848 0.895
9 S 0.502 0.152 0.105
10 S 0.502 0.348 0.605
11 S 0.865 0.238 0.374
12 S 0.865 0.262 0.874

=====

# 2
Theoretical X-ray powder pattern
Compound: Mn3FeN3
Radiation: Cu Kα (weighted mean of Kα1 and Kα2)
Structure: a crystal structure in the Materials Project, relaxed with GGA-PBE
No peak broadening, texture or thermal motion is included.

Largest 10 diffraction maxima, sorted by position, 5° ≤ 2θ ≤ 70°:
d = 2.866 Å, intensity 637
d = 2.319 Å, intensity 1000
d = 1.974 Å, intensity 263
d = 1.656 Å, intensity 272
d = 1.652 Å, intensity 135
d = 1.626 Å, intensity 194
d = 1.435 Å, intensity 20
d = 1.432 Å, intensity 39
d = 1.349 Å, intensity 54
d = 1.346 Å, intensity 107

Cell and atoms:
abc: 6.608 3.947 6.621
angles: 90.00 119.87 90.00
Fractional coordinates of all 14 atoms:
1 Mn 0.156 0.250 0.329
2 Mn 0.327 0.750 0.156
3 Mn 0.329 0.750 0.673
4 Mn 0.671 0.250 0.327
5 Mn 0.673 0.250 0.844
6 Mn 0.844 0.750 0.671
7 Fe 0.167 0.250 0.833
8 Fe 0.833 0.750 0.167
9 N 0.152 0.750 0.328
10 N 0.325 0.250 0.152
11 N 0.327 0.250 0.674
12 N 0.673 0.750 0.326
13 N 0.675 0.750 0.848
14 N 0.848 0.250 0.672

=====

# 3
Theoretical X-ray powder pattern
Compound: Mg2Cd
Radiation: Cu Kα (weighted mean of Kα1 and Kα2)
Structure: a crystal structure in the Materials Project, relaxed with GGA-PBE
No peak broadening, texture or thermal motion is included.

Largest 10 diffraction maxima, sorted by position, 5° ≤ 2θ ≤ 70°:
d = 5.226 Å, intensity 412
d = 4.491 Å, intensity 226
d = 4.023 Å, intensity 160
d = 3.007 Å, intensity 89
d = 2.706 Å, intensity 398
d = 2.612 Å, intensity 307
d = 2.403 Å, intensity 1000
d = 1.880 Å, intensity 282
d = 1.562 Å, intensity 151
d = 1.465 Å, intensity 198

Cell and atoms:
abc: 6.089 6.089 6.089
angles: 52.78 52.78 52.78
Fractional coordinates of all 6 atoms:
1 Mg 0.000 0.000 0.000
2 Mg 0.168 0.832 0.500
3 Mg 0.500 0.168 0.832
4 Mg 0.832 0.500 0.168
5 Cd 0.334 0.334 0.334
6 Cd 0.666 0.666 0.666

=====

# 4
Theoretical X-ray powder pattern
Compound: As2Pb4S6ICl
Radiation: Cu Kα (weighted mean of Kα1 and Kα2)
Structure: a crystal structure in the Materials Project, relaxed with GGA-PBE
No peak broadening, texture or thermal motion is included.

Largest 10 diffraction maxima, sorted by position, 5° ≤ 2θ ≤ 70°:
d = 4.859 Å, intensity 311
d = 4.451 Å, intensity 384
d = 3.400 Å, intensity 558
d = 3.282 Å, intensity 1000
d = 2.785 Å, intensity 411
d = 2.711 Å, intensity 178
d = 2.702 Å, intensity 230
d = 2.518 Å, intensity 236
d = 2.169 Å, intensity 177
d = 1.939 Å, intensity 236

Cell and atoms:
abc: 6.799 11.776 9.717
angles: 90.00 90.00 90.00
Fractional coordinates of all 28 atoms:
1 As 0.000 0.169 0.000
2 As 0.000 0.669 0.425
3 As 0.500 0.331 0.925
4 As 0.500 0.831 0.500
5 Pb 0.000 0.372 0.664
6 Pb 0.000 0.417 0.196
7 Pb 0.000 0.872 0.759
8 Pb 0.000 0.929 0.243
9 Pb 0.500 0.071 0.743
10 Pb 0.500 0.128 0.259
11 Pb 0.500 0.583 0.696
12 Pb 0.500 0.628 0.164
13 S 0.000 0.148 0.769
14 S 0.000 0.649 0.658
15 S 0.247 0.044 0.050
16 S 0.249 0.545 0.379
17 S 0.251 0.455 0.879
18 S 0.253 0.956 0.550
19 S 0.500 0.351 0.158
20 S 0.500 0.852 0.269
21 S 0.747 0.956 0.550
22 S 0.749 0.455 0.879
23 S 0.751 0.545 0.379
24 S 0.753 0.044 0.050
25 I 0.000 0.709 0.061
26 I 0.500 0.291 0.561
27 Cl 0.000 0.217 0.348
28 Cl 0.500 0.783 0.848

=====

# 5
Theoretical X-ray powder pattern
Compound: SiO2
Radiation: Cu Kα (weighted mean of Kα1 and Kα2)
Structure: a crystal structure in the Materials Project, relaxed with GGA-PBE
No peak broadening, texture or thermal motion is included.

Largest 10 diffraction maxima, sorted by position, 5° ≤ 2θ ≤ 70°:
d = 8.340 Å, intensity 1000
d = 6.809 Å, intensity 301
d = 5.739 Å, intensity 239
d = 5.686 Å, intensity 269
d = 4.987 Å, intensity 138
d = 4.924 Å, intensity 205
d = 4.330 Å, intensity 127
d = 3.490 Å, intensity 196
d = 3.466 Å, intensity 124
d = 3.339 Å, intensity 164

Cell and atoms:
abc: 8.983 9.177 9.211
angles: 111.52 98.19 98.98
Fractional coordinates of all 36 atoms:
1 Si 0.000 0.000 0.000
2 Si 0.001 0.507 0.492
3 Si 0.209 0.285 0.307
4 Si 0.211 0.799 0.794
5 Si 0.410 0.608 0.915
6 Si 0.424 0.409 0.122
7 Si 0.429 0.310 0.616
8 Si 0.443 0.109 0.825
9 Si 0.767 0.716 0.002
10 Si 0.781 0.517 0.209
11 Si 0.784 0.416 0.702
12 Si 0.798 0.215 0.911
13 O 0.077 0.372 0.379
14 O 0.078 0.881 0.871
15 O 0.130 0.113 0.160
16 O 0.134 0.660 0.618
17 O 0.290 0.722 0.910
18 O 0.315 0.402 0.246
19 O 0.316 0.248 0.442
20 O 0.341 0.929 0.773
21 O 0.362 0.511 0.024
22 O 0.390 0.177 0.691
23 O 0.401 0.482 0.733
24 O 0.418 0.226 0.998
25 O 0.585 0.719 0.992
26 O 0.601 0.498 0.223
27 O 0.608 0.332 0.597
28 O 0.625 0.100 0.838
29 O 0.790 0.597 0.829
30 O 0.807 0.344 0.091
31 O 0.827 0.653 0.139
32 O 0.840 0.309 0.798
33 O 0.866 0.896 0.048
34 O 0.890 0.571 0.384
35 O 0.899 0.423 0.585
36 O 0.924 0.108 0.917

=====

# 6
Theoretical X-ray powder pattern
Compound: HfFe6Ge6
Radiation: Cu Kα (weighted mean of Kα1 and Kα2)
Structure: a crystal structure in the Materials Project, relaxed with GGA-PBE
No peak broadening, texture or thermal motion is included.

Largest 10 diffraction maxima, sorted by position, 5° ≤ 2θ ≤ 70°:
d = 2.531 Å, intensity 738
d = 2.295 Å, intensity 463
d = 2.192 Å, intensity 521
d = 2.145 Å, intensity 1000
d = 2.021 Å, intensity 256
d = 1.927 Å, intensity 366
d = 1.845 Å, intensity 239
d = 1.700 Å, intensity 168
d = 1.411 Å, intensity 197
d = 1.374 Å, intensity 230

Cell and atoms:
abc: 5.061 5.061 8.083
angles: 90.00 90.00 120.00
Fractional coordinates of all 13 atoms:
1 Hf 0.000 0.000 0.000
2 Fe 0.000 0.500 0.248
3 Fe 0.000 0.500 0.752
4 Fe 0.500 0.000 0.248
5 Fe 0.500 0.000 0.752
6 Fe 0.500 0.500 0.248
7 Fe 0.500 0.500 0.752
8 Ge 0.000 0.000 0.342
9 Ge 0.000 0.000 0.658
10 Ge 0.333 0.667 0.000
11 Ge 0.333 0.667 0.500
12 Ge 0.667 0.333 0.000
13 Ge 0.667 0.333 0.500

=====

# 7
Theoretical X-ray powder pattern
Compound: Mg3Si4O12
Radiation: Cu Kα (weighted mean of Kα1 and Kα2)
Structure: a crystal structure in the Materials Project, relaxed with GGA-PBE
No peak broadening, texture or thermal motion is included.

Largest 10 diffraction maxima, sorted by position, 5° ≤ 2θ ≤ 70°:
d = 14.414 Å, intensity 1000
d = 7.207 Å, intensity 11
d = 4.651 Å, intensity 16
d = 4.411 Å, intensity 14
d = 3.604 Å, intensity 23
d = 2.883 Å, intensity 15
d = 2.621 Å, intensity 15
d = 2.490 Å, intensity 23
d = 2.314 Å, intensity 12
d = 1.550 Å, intensity 13

Cell and atoms:
abc: 5.359 5.359 28.868
angles: 91.51 91.51 119.67
Fractional coordinates of all 38 atoms:
1 Mg 0.005 0.995 0.500
2 Mg 0.298 0.641 0.500
3 Mg 0.317 0.651 0.000
4 Mg 0.641 0.298 0.000
5 Mg 0.651 0.317 0.500
6 Mg 0.995 0.005 0.000
7 Si 0.014 0.348 0.096
8 Si 0.014 0.348 0.596
9 Si 0.288 0.289 0.903
10 Si 0.289 0.288 0.403
11 Si 0.348 0.014 0.096
12 Si 0.348 0.014 0.596
13 Si 0.622 0.955 0.903
14 Si 0.955 0.622 0.403
15 O 0.000 0.330 0.039
16 O 0.115 0.950 0.385
17 O 0.118 0.451 0.385
18 O 0.185 0.185 0.115
19 O 0.185 0.185 0.615
20 O 0.187 0.686 0.115
21 O 0.188 0.687 0.615
22 O 0.301 0.306 0.961
23 O 0.306 0.301 0.461
24 O 0.330 0.000 0.539
25 O 0.335 0.998 0.039
26 O 0.449 0.617 0.885
27 O 0.451 0.118 0.885
28 O 0.617 0.449 0.385
29 O 0.635 0.973 0.961
30 O 0.642 0.959 0.470
31 O 0.661 0.676 0.529
32 O 0.676 0.661 0.029
33 O 0.686 0.187 0.615
34 O 0.687 0.188 0.115
35 O 0.950 0.115 0.885
36 O 0.959 0.642 0.970
37 O 0.973 0.635 0.461
38 O 0.998 0.335 0.539

=====

Question: Number 6 is which compound?
Answer: HfFe6Ge6